This entry pairs a crystal structure of MgH2 with its computed X-ray powder pattern. Radiation: Cu Kα (weighted mean of Kα1 and Kα2). Structure: a cell relaxed with GGA-PBE.

Structure:
Cell lengths 4.893, 4.650, 4.769 Å; angles 90.00, 90.00, 90.00 degrees
Fractional coordinates of all 12 atoms:
Mg  0.031  0.234  0.000
Mg  0.469  0.234  0.500
Mg  0.531  0.766  0.000
Mg  0.969  0.766  0.500
H  0.116  0.401  0.604
H  0.241  0.942  0.778
H  0.259  0.942  0.278
H  0.384  0.401  0.104
H  0.616  0.599  0.604
H  0.741  0.058  0.778
H  0.759  0.058  0.278
H  0.884  0.599  0.104

Principal peaks in the range 10° ≤ 2θ ≤ 90°, by intensity:
2θ 32.53, I 100; 2θ 37.73, I 17; 2θ 36.73, I 15; 2θ 38.73, I 14; 2θ 64.85, I 13; 2θ 66.21, I 12; 2θ 53.67, I 12; 2θ 55.17, I 11; 2θ 54.44, I 10; 2θ 63.51, I 10

---

This entry pairs a crystal structure of Rb2WSe4 with its computed X-ray powder pattern. Radiation: Cu Kα (weighted mean of Kα1 and Kα2). Structure: a cell relaxed with GGA-PBE.

Structure:
Cell lengths 10.301, 7.463, 13.179 Å; angles 90.00, 90.00, 90.00 degrees
Fractional coordinates of all 28 atoms:
Rb  0.047  0.250  0.158
Rb  0.157  0.750  0.385
Rb  0.343  0.250  0.885
Rb  0.453  0.750  0.658
Rb  0.547  0.250  0.342
Rb  0.657  0.750  0.115
Rb  0.843  0.250  0.615
Rb  0.953  0.750  0.842
W  0.249  0.750  0.070
W  0.251  0.250  0.570
W  0.749  0.750  0.430
W  0.751  0.250  0.930
Se  0.027  0.750  0.113
Se  0.151  0.503  0.638
Se  0.151  0.997  0.638
Se  0.220  0.250  0.394
Se  0.280  0.750  0.894
Se  0.349  0.003  0.138
Se  0.349  0.497  0.138
Se  0.473  0.250  0.613
Se  0.527  0.750  0.387
Se  0.651  0.503  0.862
Se  0.651  0.997  0.862
Se  0.720  0.250  0.106
Se  0.780  0.750  0.606
Se  0.849  0.003  0.362
Se  0.849  0.497  0.362
Se  0.973  0.250  0.887

Principal peaks in the range 10° ≤ 2θ ≤ 90°, by intensity:
2θ 16.13, I 100; 2θ 27.06, I 61; 2θ 29.42, I 48; 2θ 30.35, I 48; 2θ 23.84, I 46; 2θ 15.97, I 45; 2θ 26.83, I 42; 2θ 23.50, I 39; 2θ 52.61, I 37; 2θ 32.63, I 37

---

This entry pairs a crystal structure of HoGe2Pt with its computed X-ray powder pattern. Radiation: Cu Kα (weighted mean of Kα1 and Kα2). Structure: a cell relaxed with GGA-PBE.

Structure:
Cell lengths 9.601, 9.601, 9.601 Å; angles 153.98, 125.65, 61.22 degrees
Fractional coordinates of all 16 atoms:
Ho  0.200  0.200  0.000
Ho  0.236  0.000  0.236
Ho  0.764  0.000  0.764
Ho  0.800  0.800  0.000
Ge  0.074  0.574  0.500
Ge  0.148  0.799  0.350
Ge  0.427  0.427  0.000
Ge  0.449  0.799  0.650
Ge  0.551  0.201  0.350
Ge  0.573  0.573  0.000
Ge  0.852  0.201  0.650
Ge  0.926  0.426  0.500
Pt  0.104  0.353  0.751
Pt  0.398  0.647  0.751
Pt  0.602  0.353  0.249
Pt  0.896  0.647  0.249

Principal peaks in the range 10° ≤ 2θ ≤ 90°, by intensity:
2θ 33.34, I 100; 2θ 34.15, I 43; 2θ 41.79, I 34; 2θ 38.60, I 25; 2θ 41.18, I 23; 2θ 70.07, I 19; 2θ 49.46, I 16; 2θ 20.25, I 16; 2θ 58.19, I 15; 2θ 60.12, I 15

---

This entry pairs a crystal structure of Sm2Te3 with its computed X-ray powder pattern. Radiation: Cu Kα (weighted mean of Kα1 and Kα2). Structure: a cell relaxed with GGA-PBE.

Structure:
Cell lengths 12.213, 4.381, 11.987 Å; angles 90.00, 90.00, 90.00 degrees
Fractional coordinates of all 20 atoms:
Sm  0.015  0.250  0.187
Sm  0.196  0.250  0.498
Sm  0.304  0.750  0.998
Sm  0.485  0.750  0.687
Sm  0.515  0.250  0.313
Sm  0.696  0.250  0.002
Sm  0.804  0.750  0.502
Sm  0.985  0.750  0.813
Te  0.043  0.750  0.376
Te  0.119  0.250  0.944
Te  0.225  0.750  0.696
Te  0.275  0.250  0.196
Te  0.381  0.750  0.444
Te  0.457  0.250  0.876
Te  0.543  0.750  0.124
Te  0.619  0.250  0.556
Te  0.725  0.750  0.804
Te  0.775  0.250  0.304
Te  0.881  0.750  0.056
Te  0.957  0.250  0.624

Principal peaks in the range 10° ≤ 2θ ≤ 90°, by intensity:
2θ 30.26, I 100; 2θ 33.56, I 86; 2θ 29.19, I 81; 2θ 31.17, I 79; 2θ 41.21, I 72; 2θ 30.90, I 64; 2θ 26.23, I 51; 2θ 61.73, I 45; 2θ 36.65, I 45; 2θ 43.82, I 42

---

This entry pairs a crystal structure of CuH4O2F2 with its computed X-ray powder pattern. Radiation: Cu Kα (weighted mean of Kα1 and Kα2). Structure: a cell relaxed with GGA-PBE.

Structure:
Cell lengths 5.221, 5.221, 3.338 Å; angles 104.51, 104.51, 89.48 degrees
Fractional coordinates of all 9 atoms:
Cu  0.000  0.000  0.000
H  0.224  0.544  0.934
H  0.456  0.776  0.066
H  0.544  0.224  0.934
H  0.776  0.456  0.066
O  0.262  0.738  0.000
O  0.738  0.262  0.000
F  0.224  0.224  0.823
F  0.776  0.776  0.177

Principal peaks in the range 10° ≤ 2θ ≤ 90°, by intensity:
2θ 17.58, I 100; 2θ 28.58, I 52; 2θ 37.55, I 32; 2θ 24.22, I 25; 2θ 38.99, I 20; 2θ 25.67, I 18; 2θ 41.40, I 18; 2θ 31.04, I 15; 2θ 51.92, I 14; 2θ 49.61, I 11

---

This entry pairs a crystal structure of RbGa3P6O20 with its computed X-ray powder pattern. Radiation: Cu Kα (weighted mean of Kα1 and Kα2). Structure: a cell relaxed with GGA-PBE.

Structure:
Cell lengths 8.357, 8.357, 12.219 Å; angles 90.00, 90.00, 105.19 degrees
Fractional coordinates of all 60 atoms:
Rb  0.026  0.026  0.000
Rb  0.974  0.974  0.500
Ga  0.206  0.794  0.250
Ga  0.256  0.744  0.750
Ga  0.365  0.365  0.500
Ga  0.635  0.635  0.000
Ga  0.744  0.256  0.250
Ga  0.794  0.206  0.750
P  0.133  0.406  0.183
P  0.197  0.326  0.723
P  0.241  0.650  0.012
P  0.326  0.197  0.277
P  0.350  0.759  0.488
P  0.406  0.133  0.817
P  0.594  0.867  0.317
P  0.650  0.241  0.988
P  0.674  0.803  0.777
P  0.759  0.350  0.512
P  0.803  0.674  0.223
P  0.867  0.594  0.683
O  0.024  0.732  0.699
O  0.031  0.229  0.767
O  0.138  0.465  0.057
O  0.166  0.550  0.260
O  0.179  0.661  0.897
O  0.196  0.776  0.088
O  0.224  0.804  0.412
O  0.229  0.031  0.233
O  0.231  0.510  0.709
O  0.238  0.249  0.614
O  0.249  0.238  0.386
O  0.268  0.976  0.801
O  0.290  0.328  0.186
O  0.328  0.290  0.814
O  0.339  0.821  0.603
O  0.354  0.577  0.478
O  0.423  0.646  0.022
O  0.450  0.834  0.240
O  0.465  0.138  0.943
O  0.490  0.769  0.791
O  0.510  0.231  0.291
O  0.535  0.862  0.443
O  0.550  0.166  0.740
O  0.577  0.354  0.522
O  0.646  0.423  0.978
O  0.661  0.179  0.103
O  0.672  0.710  0.314
O  0.710  0.672  0.686
O  0.732  0.024  0.301
O  0.751  0.762  0.886
O  0.762  0.751  0.114
O  0.769  0.490  0.209
O  0.771  0.969  0.733
O  0.776  0.196  0.912
O  0.804  0.224  0.588
O  0.821  0.339  0.397
O  0.834  0.450  0.760
O  0.862  0.535  0.557
O  0.969  0.771  0.267
O  0.976  0.268  0.199

Principal peaks in the range 10° ≤ 2θ ≤ 90°, by intensity:
2θ 23.23, I 100; 2θ 26.48, I 99; 2θ 22.04, I 96; 2θ 29.23, I 91; 2θ 19.75, I 78; 2θ 26.37, I 57; 2θ 23.10, I 55; 2θ 33.07, I 41; 2θ 27.19, I 40; 2θ 36.52, I 39